For Sr3LaC2N4F5, a PBE-relaxed structure gives the calculated powder X-ray diffraction pattern in this record (Cu Ka).
Lines closer than 0.1° are merged.

Principal peaks in the range 2θ = 10–80°, by angle:
2θ = 26.88°, I 36
2θ = 27.71°, I 83
2θ = 28.01°, I 100
2θ = 34.85°, I 65
2θ = 44.29°, I 42
2θ = 48.00°, I 41

```
Sr3LaC2N4F5
1.0
3.3169 -5.8330 0.0000
3.3169 5.8330 0.0000
-3.2989 0.0000 5.7316
Sr La C N F
3 1 2 4 5
Direct
0.0000 0.0000 0.0000
0.5133 0.8272 0.3338
0.8272 0.5133 0.3338
0.3339 0.3339 0.6684
0.4392 0.9411 0.8252
0.9411 0.4392 0.8252
0.1031 0.4215 0.9384
0.4215 0.1031 0.9384
0.4582 0.7812 0.7095
0.7812 0.4582 0.7095
0.2026 0.9221 0.3394
0.4105 0.4105 0.3397
0.6586 0.6586 0.0702
0.9221 0.2026 0.3394
0.9259 0.9259 0.5896
```